Starting from a cell relaxed with GGA+U, the powder XRD pattern of UTlWO6 was simulated for Cu Kα (weighted mean of Kα1 and Kα2).
Intensities are scaled so that the largest is 100.

Top 12 peaks for 2θ = 15–90°, by angle:
d_spacing  2θ (°)  I (rel.)
3.859  23.05  28
3.311  26.93  83
3.295  27.06  71
3.229  27.63  100
3.192  27.95  96
3.095  28.85  31
2.103  43.02  23
2.065  43.84  44
1.930  47.09  50
1.684  54.49  32
1.614  57.05  27
1.261  75.40  21

Cell and atoms:
```
UTlWO6
1.0
-3.743 3.919 5.504
3.743 -3.919 5.504
3.743 3.919 -5.504
U Tl W O
2 2 2 12
Direct
0.000 0.000 0.000 U
0.500 0.000 0.500 U
0.419 0.669 0.750 Tl
0.581 0.331 0.250 Tl
0.000 0.000 0.500 W
0.000 0.500 0.000 W
0.049 0.299 0.750 O
0.058 0.330 0.126 O
0.058 0.932 0.728 O
0.296 0.068 0.626 O
0.296 0.670 0.228 O
0.330 0.080 0.250 O
0.670 0.920 0.750 O
0.704 0.330 0.772 O
0.704 0.932 0.374 O
0.942 0.068 0.272 O
0.942 0.670 0.874 O
0.951 0.701 0.250 O
```